Theoretical powder diffraction line list
Compound: Sc4Ta2Cd3N3
Radiation: Cu Kα X-rays
Structure: a DFT-relaxed cell (PBE, OQMD)
Lines closer than 0.1° are merged.

Largest 10 diffraction maxima, sorted by position, 10 to 90 degrees two-theta:
2θ 18.50, intensity 29; 2θ 18.87, intensity 18; 2θ 32.19, intensity 21; 2θ 36.91, intensity 30; 2θ 37.16, intensity 100; 2θ 37.29, intensity 52; 2θ 49.69, intensity 16; 2θ 57.27, intensity 19; 2θ 66.62, intensity 15; 2θ 70.17, intensity 19

```
Sc4Ta2Cd3N3
1.0
4.811 -2.789 0.000
4.811 2.789 0.000
-3.266 0.000 14.613
Sc Ta Cd N
8 4 6 6
direct
0.033 0.190 0.085
0.132 0.306 0.415
0.190 0.033 0.585
0.306 0.132 0.915
0.694 0.868 0.085
0.810 0.967 0.415
0.868 0.694 0.585
0.967 0.810 0.915
0.355 0.525 0.072
0.475 0.645 0.428
0.525 0.355 0.572
0.645 0.475 0.928
0.110 0.890 0.250
0.276 0.417 0.751
0.417 0.276 0.251
0.583 0.724 0.749
0.724 0.583 0.249
0.890 0.110 0.750
0.000 0.500 0.000
0.167 0.667 0.500
0.333 0.833 0.000
0.500 0.000 0.500
0.667 0.167 0.000
0.833 0.333 0.500
```